No. 1
# Ac4Au3Br
Simulated powder diffraction line list, Cu Kα (weighted mean of Kα1 and Kα2). Input: a GGA-PBE-relaxed structure.
Peak positions follow from Bragg's law for the DFT cell and can differ from measured ones.

Most intense lines, 2θ from 15° to 90°, low angle first:
- (0 2 1), 27.45°, d 3.249, rel. 100
- (0 4 0), 38.85°, d 2.318, rel. 13
- (4 2 1), 39.22°, d 2.297, rel. 52
- (0 0 2), 39.52°, d 2.280, rel. 13
- (4 4 0), 48.24°, d 1.886, rel. 14
- (4 0 2), 48.81°, d 1.866, rel. 14
- (0 4 2), 56.62°, d 1.626, rel. 9
- (4 4 2), 64.08°, d 1.453, rel. 18

Structural model:
Lattice parameters (Å, degrees): 12.9826 9.2726 4.5603 90.00 90.08 90.00
Space group C2/m (No. 12)
Symmetry-distinct sites (fractional):
Ac 0.0000 0.2343 0.0000
Ac 0.2404 0.0000 0.5000
Au 0.0000 0.0000 0.5000
Au 0.2500 0.2500 0.0000
Br 0.0000 0.5000 0.5000


No. 2
# Rb3PSe
Simulated powder diffraction line list, Cu Kα (weighted mean of Kα1 and Kα2). Input: a GGA-PBE-relaxed structure.
Peak positions follow from Bragg's law for the DFT cell and can differ from measured ones.

Most intense lines, 2θ from 15° to 90°, low angle first:
- (0 2 -1), 21.13°, d 4.205, rel. 21
- (1 0 1), 21.21°, d 4.188, rel. 22
- (1 0 -2), 21.34°, d 4.163, rel. 24
- (-1 2 1), 28.51°, d 3.131, rel. 37
- (1 -2 2), 30.00°, d 2.979, rel. 100
- (1 2 0), 30.20°, d 2.960, rel. 45
- (0 0 3), 30.58°, d 2.923, rel. 49
- (1 2 -3), 31.82°, d 2.812, rel. 51

Structural model:
Lattice parameters (Å, degrees): 5.9847 8.4592 9.8393 109.99 105.62 94.60
Space group P-1 (No. 2)
Symmetry-distinct sites (fractional):
Rb 0.0476 0.2220 0.4869
Rb 0.3198 0.5588 0.1646
Rb 0.3285 0.0207 0.1362
P 0.4382 0.6056 0.5555
Se 0.1735 0.1809 0.8393


No. 3
# KLi4Bi4
Simulated powder diffraction line list, Cu Kα (weighted mean of Kα1 and Kα2). Input: a GGA-PBE-relaxed structure.
Peak positions follow from Bragg's law for the DFT cell and can differ from measured ones.

Most intense lines, 2θ from 15° to 90°, low angle first:
- (1 1 1), 20.18°, d 4.400, rel. 54
- (1 2 1), 25.69°, d 3.468, rel. 100
- (3 1 0), 28.93°, d 3.086, rel. 45
- (2 2 1), 30.26°, d 2.954, rel. 34
- (1 0 2), 32.67°, d 2.741, rel. 29
- (3 3 0), 39.16°, d 2.300, rel. 23
- (3 0 2), 42.10°, d 2.146, rel. 43
- (2 5 1), 53.02°, d 1.727, rel. 25

Structural model:
Lattice parameters (Å, degrees): 9.7598 9.7598 5.7123 90.00 90.00 90.00
Space group P4_2/n (No. 86, origin choice 2)
Symmetry-distinct sites (fractional):
K 0.2500 0.2500 0.2500
Li 0.0930 0.6029 0.1329
Bi 0.0951 0.9029 0.1342


No. 4
# Cs3K3Rb4Au2
Simulated powder diffraction line list, Cu Kα (weighted mean of Kα1 and Kα2). Input: a GGA-PBE-relaxed structure.
Peak positions follow from Bragg's law for the DFT cell and can differ from measured ones.

Most intense lines, 2θ from 15° to 90°, low angle first:
- (0 5 1), 16.98°, d 5.221, rel. 52
- (1 5 0), 17.41°, d 5.095, rel. 92
- (1 0 1), 18.42°, d 4.816, rel. 100
- (0 10 0), 22.53°, d 3.947, rel. 39
- (0 0 2), 25.59°, d 3.480, rel. 66
- (2 0 0), 26.73°, d 3.335, rel. 60
- (1 5 2), 31.12°, d 2.874, rel. 46
- (2 0 2), 37.34°, d 2.408, rel. 49

Structural model:
Lattice parameters (Å, degrees): 6.6699 39.4685 6.9609 90.00 90.00 90.00
Space group Imm2 (No. 44)
Symmetry-distinct sites (fractional):
Cs 0.0000 0.0000 0.0000
Cs 0.0000 0.2037 0.9896
K 0.0000 0.0917 0.4920
K 0.0000 0.5000 0.9975
Rb 0.0000 0.3283 0.9889
Rb 0.0000 0.4064 0.4880
Au 0.0000 0.4164 0.9872